Entry 1:
Diffraction record for SrMg14BiO16. The powder diffraction line list is calculated, not measured: it uses a DFT-relaxed cell (GGA-PBE, the Materials Project) and Cu Kα, 1.54184 Å.
No peak broadening, texture or thermal motion is included.

Cell and atoms:
Lattice parameters (Å, degrees): 8.829 8.829 4.548 90.00 90.00 90.00
Element x y z (fractional)
Sr 0.000 0.000 0.000
Mg 0.000 0.258 0.500
Mg 0.000 0.500 0.000
Mg 0.000 0.742 0.500
Mg 0.239 0.500 0.500
Mg 0.248 0.248 0.000
Mg 0.248 0.752 0.000
Mg 0.258 0.000 0.500
Mg 0.500 0.000 0.000
Mg 0.500 0.239 0.500
Mg 0.500 0.761 0.500
Mg 0.742 0.000 0.500
Mg 0.752 0.248 0.000
Mg 0.752 0.752 0.000
Mg 0.761 0.500 0.500
Bi 0.500 0.500 0.000
O 0.000 0.000 0.500
O 0.000 0.269 0.000
O 0.000 0.500 0.500
O 0.000 0.731 0.000
O 0.233 0.500 0.000
O 0.251 0.251 0.500
O 0.251 0.749 0.500
O 0.269 0.000 0.000
O 0.500 0.000 0.500
O 0.500 0.233 0.000
O 0.500 0.500 0.500
O 0.500 0.767 0.000
O 0.731 0.000 0.000
O 0.749 0.251 0.500
O 0.749 0.749 0.500
O 0.767 0.500 0.000

The 12 most intense peaks (2θ = 10–90°), most intense first:
| index | two_theta | Rel. int. |
| --- | --- | --- |
| 4 0 0 | 40.88 | 100.0 |
| 1 1 0 | 14.19 | 71.6 |
| 4 0 2 | 58.26 | 63.8 |
| 2 2 1 | 34.86 | 58.7 |
| 0 0 2 | 39.64 | 56.2 |
| 1 1 1 | 24.21 | 54.9 |
| 2 0 0 | 20.11 | 44.6 |
| 1 0 0 | 10.02 | 42.5 |
| 2 0 1 | 28.17 | 39.6 |
| 3 1 1 | 37.81 | 37.4 |
| 3 1 0 | 32.06 | 35.2 |
| 4 4 0 | 59.21 | 32.1 |

Entry 2:
Diffraction record for NiI10N6. The powder diffraction line list is calculated, not measured: it uses a DFT-relaxed cell (GGA-PBE, the Materials Project) and Cu Kα, 1.54184 Å.
No peak broadening, texture or thermal motion is included.

Cell and atoms:
Lattice parameters (Å, degrees): 8.724 16.209 11.813 90.00 130.31 90.00
Element x y z (fractional)
Ni 0.000 0.000 0.000
Ni 0.000 0.500 0.500
I 0.005 0.245 0.332
I 0.005 0.255 0.832
I 0.266 0.584 0.480
I 0.266 0.916 0.980
I 0.271 0.517 0.029
I 0.271 0.983 0.529
I 0.276 0.154 0.613
I 0.276 0.346 0.113
I 0.303 0.687 0.968
I 0.303 0.813 0.468
I 0.697 0.187 0.532
I 0.697 0.313 0.032
I 0.724 0.654 0.887
I 0.724 0.846 0.387
I 0.729 0.017 0.471
I 0.729 0.483 0.971
I 0.734 0.084 0.020
I 0.734 0.416 0.520
I 0.995 0.745 0.168
I 0.995 0.755 0.668
N 0.032 0.510 0.352
N 0.032 0.990 0.852
N 0.196 0.084 0.094
N 0.196 0.416 0.594
N 0.226 0.577 0.625
N 0.226 0.923 0.125
N 0.774 0.077 0.875
N 0.774 0.423 0.375
N 0.804 0.584 0.406
N 0.804 0.916 0.906
N 0.968 0.010 0.148
N 0.968 0.490 0.648

The 12 most intense peaks (2θ = 10–90°), most intense first:
| index | two_theta | Rel. int. |
| --- | --- | --- |
| 2 1 -2 | 21.23 | 100.0 |
| 2 0 -2 | 20.51 | 78.0 |
| 0 0 2 | 19.71 | 62.1 |
| 1 3 -2 | 22.33 | 53.0 |
| 0 5 1 | 29.28 | 41.9 |
| 1 1 2 | 30.82 | 33.6 |
| 1 1 -4 | 33.18 | 28.9 |
| 4 1 -4 | 42.09 | 28.4 |
| 1 4 0 | 25.75 | 28.1 |
| 2 5 -1 | 35.30 | 27.0 |
| 0 2 2 | 22.58 | 25.8 |
| 2 0 0 | 26.80 | 25.0 |

Entry 3:
Diffraction record for Co3W. The powder diffraction line list is calculated, not measured: it uses a DFT-relaxed cell (GGA-PBE, the Materials Project) and Cu Kα, 1.54184 Å.
No peak broadening, texture or thermal motion is included.

Cell and atoms:
Lattice parameters (Å, degrees): 5.113 5.113 4.093 90.00 90.00 120.00
Element x y z (fractional)
Co 0.162 0.323 0.250
Co 0.162 0.838 0.250
Co 0.323 0.162 0.750
Co 0.677 0.838 0.250
Co 0.838 0.162 0.750
Co 0.838 0.677 0.750
W 0.333 0.667 0.750
W 0.667 0.333 0.250

The 12 most intense peaks (2θ = 10–90°), most intense first:
| index | two_theta | Rel. int. |
| --- | --- | --- |
| 2 0 1 | 46.64 | 100.0 |
| 1 0 1 | 29.72 | 38.8 |
| 0 0 2 | 44.26 | 26.1 |
| 2 0 0 | 40.75 | 24.8 |
| 2 0 3 | 83.17 | 17.6 |
| 1 1 0 | 35.10 | 15.8 |
| 2 2 0 | 74.18 | 15.8 |
| 2 0 2 | 61.73 | 14.0 |
| 1 0 0 | 20.05 | 12.0 |
| 2 1 1 | 59.69 | 9.7 |
| 1 1 2 | 57.70 | 8.2 |
| 3 1 1 | 81.89 | 5.2 |